# Pr3ZnBr3
Theoretical X-ray powder pattern, Cu Kα, 1.54184 Å. Input: a structure optimized by DFT (PBE).

Peak list (12 most intense, 10° ≤ 2θ ≤ 80°, in order of rising 2θ)
2θ (°)	I/Imax
14.65	16.3
20.78	20.3
29.55	100.0
33.13	9.2
36.40	9.5
42.28	74.7
44.98	4.9
52.42	26.3
56.99	5.3
61.33	12.2
69.53	33.5
77.31	24.9

Cell and atoms:
Unit cell a=6.046 b=6.046 c=6.046 alpha=90.00 beta=90.00 gamma=90.00
Atoms (fractional coordinates):
Pr  0.000  0.000  0.500
Pr  0.000  0.500  0.000
Pr  0.500  0.000  0.000
Zn  0.000  0.000  0.000
Br  0.000  0.500  0.500
Br  0.500  0.000  0.500
Br  0.500  0.500  0.000